Entry 1:
Li5Cr2Co3O10: simulated powder X-ray diffraction pattern (Cu Kα (weighted mean of Kα1 and Kα2)), based on a DFT-relaxed cell (GGA+U, Alexandria).
Kinematic intensities with the Lorentz-polarization factor, no thermal factor.

Atomic structure:
```
data_Li5Cr2Co3O10
_chemical_formula_sum 'Li5 Cr2 Co3 O10'
_cell_length_a 5.0009
_cell_length_b 5.1028
_cell_length_c 7.7085
_cell_angle_alpha 70.94
_cell_angle_beta 71.23
_cell_angle_gamma 80.83
_space_group_name_H-M_alt 'P -1'
_space_group_IT_number 2
loop_
_space_group_symop_operation_xyz
'x,y,z'
'-x,-y,-z'
loop_
_atom_site_label
_atom_site_type_symbol
_atom_site_fract_x
_atom_site_fract_y
_atom_site_fract_z
Li1 Li 0.0000 0.0000 0.0000
Li2 Li 0.0918 0.5135 0.2906
Li3 Li 0.2841 0.5061 0.9112
Cr1 Cr 0.3909 0.0077 0.1949
Co1 Co 0.1999 0.9987 0.5996
Co2 Co 0.5000 0.5000 0.5000
O1 O 0.0443 0.2303 0.1698
O2 O 0.1413 0.7795 0.4487
O3 O 0.2706 0.2289 0.7331
O4 O 0.3696 0.7654 0.0507
O5 O 0.4585 0.2202 0.3622
```

Top 10 peaks for 10 to 90 degrees two-theta, by angle:
12.69°, rel. 100.0
18.43°, rel. 93.8
18.78°, rel. 28.8
27.03°, rel. 24.4
30.15°, rel. 21.9
36.18°, rel. 21.6
43.77°, rel. 68.4
43.88°, rel. 64.9
43.98°, rel. 61.4
63.72°, rel. 35.1


Entry 2:
Li4CrCo3P4O16: simulated powder X-ray diffraction pattern (Cu Kα (weighted mean of Kα1 and Kα2)), based on a DFT-relaxed cell (GGA+U, Alexandria).
Kinematic intensities with the Lorentz-polarization factor, no thermal factor.

Atomic structure:
```
data_Li4CrCo3P4O16
_chemical_formula_sum 'Li4 Cr1 Co3 P4 O16'
_cell_length_a 4.7537
_cell_length_b 6.0852
_cell_length_c 10.2958
_cell_angle_alpha 90.00
_cell_angle_beta 90.78
_cell_angle_gamma 90.00
_space_group_name_H-M_alt 'P 1 m 1'
_space_group_IT_number 6
loop_
_space_group_symop_operation_xyz
'x,y,z'
'x,-y,z'
loop_
_atom_site_label
_atom_site_type_symbol
_atom_site_fract_x
_atom_site_fract_y
_atom_site_fract_z
Li1 Li 0.0000 0.2477 0.0000
Li2 Li 0.4857 0.2476 0.5033
Cr1 Cr 0.5336 0.5000 0.2212
Co1 Co 0.0195 0.0000 0.2807
Co2 Co 0.4695 0.0000 0.7784
Co3 Co 0.9734 0.5000 0.7224
P1 P 0.0703 0.5000 0.4100
P2 P 0.4192 0.5000 0.9072
P3 P 0.5829 0.0000 0.0941
P4 P 0.9068 0.0000 0.5977
O1 O 0.1912 0.5000 0.5513
O2 O 0.2000 0.2941 0.3420
O3 O 0.2307 0.0000 0.6025
O4 O 0.2599 0.0000 0.1003
O5 O 0.2791 0.2971 0.8376
O6 O 0.3045 0.5000 0.0486
O7 O 0.6971 0.0000 0.9534
O8 O 0.7239 0.1998 0.1657
O9 O 0.7422 0.5000 0.9032
O10 O 0.7449 0.5000 0.4039
O11 O 0.7736 0.2032 0.6696
O12 O 0.7838 0.0000 0.4573
```

Top 10 peaks for 10 to 90 degrees two-theta, by angle:
17.23°, rel. 48.0
20.47°, rel. 44.2
20.69°, rel. 36.8
25.21°, rel. 57.9
25.38°, rel. 67.8
29.35°, rel. 100.0
35.28°, rel. 71.4
35.67°, rel. 69.4
52.16°, rel. 29.4
60.92°, rel. 30.1


Entry 3:
Li4Cr3Co3Sb2O16: simulated powder X-ray diffraction pattern (Cu Kα (weighted mean of Kα1 and Kα2)), based on a DFT-relaxed cell (GGA+U, Alexandria).
Kinematic intensities with the Lorentz-polarization factor, no thermal factor.

Atomic structure:
```
data_Li4Cr3Co3Sb2O16
_chemical_formula_sum 'Li8 Cr6 Co6 Sb4 O32'
_cell_length_a 10.1360
_cell_length_b 5.8560
_cell_length_c 9.5563
_cell_angle_alpha 90.00
_cell_angle_beta 90.76
_cell_angle_gamma 90.00
_space_group_name_H-M_alt 'C 1 m 1'
_space_group_IT_number 8
loop_
_space_group_symop_operation_xyz
'x,y,z'
'x,-y,z'
'x+1/2,y+1/2,z'
'x+1/2,-y+1/2,z'
loop_
_atom_site_label
_atom_site_type_symbol
_atom_site_fract_x
_atom_site_fract_y
_atom_site_fract_z
Li1 Li 0.0000 0.0000 0.0000
Li2 Li 0.0014 0.0000 0.4977
Li3 Li 0.1571 0.5000 0.9116
Li4 Li 0.3235 0.0000 0.4072
Cr1 Cr 0.3247 0.5000 0.2205
Cr2 Cr 0.4094 0.2453 0.7204
Co1 Co 0.0796 0.2557 0.2208
Co2 Co 0.1656 0.0000 0.7218
Sb1 Sb 0.1598 0.5000 0.4929
Sb2 Sb 0.3270 0.0000 0.9967
O1 O 0.9996 0.0000 0.8133
O2 O 0.0007 0.0000 0.3115
O3 O 0.0105 0.5000 0.3408
O4 O 0.0777 0.2457 0.6035
O5 O 0.1548 0.5000 0.1185
O6 O 0.1585 0.0000 0.1077
O7 O 0.2314 0.2737 0.3462
O8 O 0.2493 0.2218 0.8466
O9 O 0.3237 0.0000 0.6150
O10 O 0.3323 0.5000 0.5965
O11 O 0.4144 0.2562 0.1019
O12 O 0.4752 0.0000 0.8514
```

Top 10 peaks for 10 to 90 degrees two-theta, by angle:
19.75°, rel. 100.0
19.90°, rel. 85.2
25.50°, rel. 28.8
25.73°, rel. 28.0
33.08°, rel. 34.1
35.80°, rel. 30.9
35.97°, rel. 31.8
36.18°, rel. 32.6
36.60°, rel. 29.5
63.58°, rel. 44.0


Entry 4:
Li4Cr3Co3W2O16: simulated powder X-ray diffraction pattern (Cu Kα (weighted mean of Kα1 and Kα2)), based on a DFT-relaxed cell (GGA+U, Alexandria).
Kinematic intensities with the Lorentz-polarization factor, no thermal factor.

Atomic structure:
```
data_Li4Cr3Co3W2O16
_chemical_formula_sum 'Li8 Cr6 Co6 W4 O32'
_cell_length_a 10.3697
_cell_length_b 5.8730
_cell_length_c 9.7039
_cell_angle_alpha 90.00
_cell_angle_beta 92.16
_cell_angle_gamma 90.00
_space_group_name_H-M_alt 'C 1 m 1'
_space_group_IT_number 8
loop_
_space_group_symop_operation_xyz
'x,y,z'
'x,-y,z'
'x+1/2,y+1/2,z'
'x+1/2,-y+1/2,z'
loop_
_atom_site_label
_atom_site_type_symbol
_atom_site_fract_x
_atom_site_fract_y
_atom_site_fract_z
Li1 Li 0.0000 0.0000 0.0000
Li2 Li 0.0038 0.0000 0.5055
Li3 Li 0.1641 0.5000 0.0817
Li4 Li 0.3432 0.0000 0.5827
Cr1 Cr 0.3313 0.5000 0.7760
Cr2 Cr 0.4123 0.2460 0.2769
Co1 Co 0.0863 0.2536 0.7787
Co2 Co 0.1675 0.0000 0.2780
W1 W 0.1709 0.5000 0.5058
W2 W 0.3282 0.0000 0.0046
O1 O 0.0041 0.0000 0.6939
O2 O 0.0280 0.5000 0.6483
O3 O 0.0788 0.2624 0.4084
O4 O 0.1638 0.5000 0.8712
O5 O 0.1655 0.0000 0.9013
O6 O 0.2520 0.2810 0.6374
O7 O 0.2624 0.2268 0.1378
O8 O 0.3272 0.5000 0.3948
O9 O 0.3343 0.0000 0.3815
O10 O 0.4054 0.2435 0.9033
O11 O 0.4783 0.0000 0.1479
O12 O 0.4965 0.5000 0.1857
```

Top 10 peaks for 10 to 90 degrees two-theta, by angle:
19.11°, rel. 31.6
19.49°, rel. 68.1
19.77°, rel. 100.0
25.59°, rel. 26.3
32.50°, rel. 24.4
33.07°, rel. 22.9
34.85°, rel. 31.7
35.75°, rel. 27.8
35.90°, rel. 29.1
36.21°, rel. 24.6